For Li3FeBAsO7, a structure optimized by DFT (PBE+U) gives the simulated X-ray powder pattern in this record (Cu Kα (weighted mean of Kα1 and Kα2)).
Lines closer than 0.1° are merged.

Peak list (10 most intense, 2θ from 15° to 90°, in order of falling intensity)
(0 2 0), d 3.299, intensity 1000; (1 0 -1), d 4.504, intensity 541; (1 0 -2), d 3.386, intensity 503; (1 1 1), d 3.572, intensity 460; (1 0 1), d 4.248, intensity 410; (2 0 0), d 2.542, intensity 271; (0 1 3), d 2.616, intensity 271; (1 1 2), d 2.858, intensity 255; (2 0 -1), d 2.482, intensity 192; (0 2 1), d 3.078, intensity 186

Structure:
```
Li3FeBAsO7
1.0
5.095 0.000 0.000
0.000 6.598 0.000
-0.571 0.000 8.558
Li Fe B As O
6 2 2 2 14
direct
0.237 0.014 0.279
0.237 0.486 0.279
0.262 0.250 0.585
0.738 0.750 0.415
0.763 0.514 0.721
0.763 0.986 0.721
0.219 0.750 0.819
0.781 0.250 0.181
0.277 0.750 0.536
0.723 0.250 0.464
0.277 0.250 0.921
0.723 0.750 0.079
0.022 0.750 0.590
0.149 0.250 0.101
0.182 0.053 0.799
0.182 0.447 0.799
0.339 0.750 0.384
0.387 0.750 0.038
0.480 0.750 0.658
0.520 0.250 0.342
0.613 0.250 0.962
0.661 0.250 0.616
0.818 0.553 0.201
0.818 0.947 0.201
0.851 0.750 0.899
0.978 0.250 0.410
```